(1)
Starting from a PBE+U-relaxed structure, the powder diffraction line list of NaLi5Mn2P2C2O14 was calculated for CuKα.
Peak positions follow from Bragg's law for the DFT cell and can differ from measured ones.

Top 10 peaks for 10 to 80 degrees two-theta, sorted by position:
d 8.653, 10.22 deg, intensity 86, hkl 0 1 0; d 4.375, 20.30 deg, intensity 35, hkl 0 1 -2; d 4.274, 20.78 deg, intensity 32, hkl 0 1 2; d 3.317, 26.88 deg, intensity 100, hkl 2 0 0; d 3.314, 26.90 deg, intensity 31, hkl 0 2 -2; d 2.642, 33.94 deg, intensity 16, hkl 2 -2 0; d 2.496, 35.99 deg, intensity 30, hkl 0 0 4; d 2.415, 37.23 deg, intensity 17, hkl 0 1 -4; d 1.818, 50.17 deg, intensity 15, hkl 2 -4 0; d 1.659, 55.39 deg, intensity 18, hkl 4 0 0

Atomic structure:
```
NaLi5Mn2P2C2O14
1.0
6.635 0.000 0.000
-0.067 8.656 0.000
-0.014 -0.270 9.982
Na Li Mn P C O
2 10 4 4 4 28
Cartesian
0.000 0.000 0.000
1.634 7.151 2.486
0.139 -0.025 5.098
1.652 6.982 7.474
3.180 -0.013 5.113
3.213 0.139 0.076
3.392 4.024 7.415
3.428 4.132 2.410
4.892 5.747 0.005
4.934 5.628 5.002
6.481 4.129 2.403
6.503 4.033 7.417
1.642 3.401 0.135
1.642 3.302 5.130
4.957 0.869 2.408
4.965 0.718 7.345
1.656 1.340 2.759
1.680 1.151 7.702
4.922 2.717 9.770
4.962 2.852 4.787
1.618 5.992 4.964
1.668 5.765 9.832
4.913 6.648 7.576
4.929 6.786 2.603
0.410 0.563 2.270
0.431 0.337 7.249
1.603 4.995 8.784
1.596 7.286 4.807
1.628 5.205 3.932
1.648 2.627 7.217
1.656 2.829 2.301
1.635 5.503 1.029
1.633 5.488 6.161
1.685 1.321 4.325
1.762 1.184 9.261
1.773 7.052 9.670
2.875 0.555 2.203
2.881 0.340 7.138
3.740 3.851 0.283
3.737 3.652 5.311
4.863 1.519 0.284
4.879 7.482 8.572
4.901 7.623 3.595
4.949 2.680 8.204
4.960 2.845 3.221
4.936 5.366 7.832
4.922 7.089 6.359
4.974 1.359 5.241
4.948 5.505 2.856
4.934 7.221 1.379
6.181 3.748 0.322
6.182 3.654 5.316
```

(2)
Starting from a PBE+U-relaxed structure, the powder diffraction line list of NaLi5Mn2P2C2O14 was calculated for CuKα.
Peak positions follow from Bragg's law for the DFT cell and can differ from measured ones.

Top 10 peaks for 10 to 80 degrees two-theta, sorted by position:
d 8.644, 10.23 deg, intensity 83, hkl 0 1 0; d 4.397, 20.20 deg, intensity 35, hkl 0 1 -2; d 4.271, 20.80 deg, intensity 33, hkl 0 1 2; d 3.327, 26.79 deg, intensity 31, hkl 0 2 -2; d 3.322, 26.84 deg, intensity 100, hkl 2 0 0; d 2.883, 31.02 deg, intensity 19, hkl 0 3 0; d 2.503, 35.88 deg, intensity 29, hkl 0 0 4; d 2.426, 37.05 deg, intensity 17, hkl 0 1 -4; d 2.087, 43.36 deg, intensity 15, hkl 1 2 -4; d 1.661, 55.31 deg, intensity 17, hkl 4 0 0

Atomic structure:
```
NaLi5Mn2P2C2O14
1.0
6.643 0.000 0.000
-0.053 8.649 0.000
-0.024 -0.336 10.012
Na Li Mn P C O
2 10 4 4 4 28
Cartesian
0.000 0.000 0.000
1.650 2.556 10.007
0.009 -0.109 4.961
1.469 7.005 2.399
1.466 6.849 7.364
1.817 2.848 5.075
3.379 1.377 2.551
3.411 1.251 7.502
4.815 3.095 0.123
4.812 2.863 5.084
5.121 6.830 7.358
5.135 7.003 2.403
6.614 3.726 2.431
-0.018 3.540 7.337
3.295 6.302 0.132
3.308 6.197 5.102
-0.011 5.731 4.792
3.313 4.192 2.755
3.337 4.028 7.673
6.567 5.480 9.823
0.014 1.069 2.661
0.009 0.827 7.520
3.340 0.257 4.888
3.388 0.035 9.866
-0.041 5.504 8.254
0.004 1.325 6.328
-0.018 5.730 3.224
-0.040 8.189 7.704
0.007 1.629 8.549
-0.020 8.418 2.810
0.033 1.615 1.489
0.004 4.242 5.244
1.200 6.545 0.374
1.211 6.532 5.318
2.065 3.406 2.288
2.091 3.211 7.217
3.244 7.786 8.926
3.315 1.530 4.595
3.351 0.017 1.102
3.306 5.507 7.194
3.300 8.049 3.902
3.356 -0.152 6.111
3.326 5.676 2.271
3.357 4.216 4.320
3.418 4.049 9.234
3.535 1.282 9.524
4.513 3.366 2.207
4.534 3.213 7.101
5.387 6.646 0.338
5.407 6.526 5.320
6.511 4.337 0.266
6.614 1.825 3.714
```

(3)
Starting from a PBE+U-relaxed structure, the powder diffraction line list of NaLi5Mn2P2C2O14 was calculated for CuKα.
Peak positions follow from Bragg's law for the DFT cell and can differ from measured ones.

Top 10 peaks for 10 to 80 degrees two-theta, sorted by position:
d 8.650, 10.23 deg, intensity 86, hkl 0 1 0; d 4.376, 20.30 deg, intensity 35, hkl 0 1 -2; d 4.273, 20.79 deg, intensity 32, hkl 0 1 2; d 3.316, 26.88 deg, intensity 100, hkl 2 0 0; d 3.314, 26.90 deg, intensity 31, hkl 0 2 -2; d 2.640, 33.95 deg, intensity 16, hkl 2 -2 0; d 2.496, 35.98 deg, intensity 30, hkl 0 0 4; d 2.416, 37.22 deg, intensity 17, hkl 0 1 -4; d 1.818, 50.18 deg, intensity 16, hkl 2 -4 0; d 1.658, 55.42 deg, intensity 20, hkl 4 0 0

Atomic structure:
```
NaLi5Mn2P2C2O14
1.0
6.633 0.000 0.000
-0.066 8.653 0.000
-0.002 -0.272 9.984
Na Li Mn P C O
2 10 4 4 4 28
Cartesian
0.000 0.000 0.000
1.651 7.016 7.435
0.137 -0.026 5.018
1.650 7.087 2.480
3.196 -0.013 5.044
3.205 0.135 0.098
3.414 4.160 2.396
3.425 3.983 7.373
4.891 5.466 9.978
4.941 5.626 4.957
6.492 3.988 7.374
6.503 4.164 2.386
1.644 3.412 0.133
1.650 3.280 5.077
4.959 0.847 2.384
4.976 0.729 7.315
1.662 1.264 2.733
1.692 1.214 7.674
4.934 2.720 9.761
4.970 2.836 4.741
1.628 5.933 4.826
1.685 5.812 9.914
4.926 6.640 7.547
4.933 6.775 2.579
0.416 0.471 2.271
0.438 0.420 7.203
1.618 5.015 8.888
1.607 7.234 4.698
1.627 5.597 1.135
1.657 2.699 7.218
1.637 5.189 3.759
1.642 5.371 5.989
1.667 2.745 2.246
1.694 1.291 4.300
1.773 1.202 9.233
1.805 7.090 9.739
2.872 0.448 2.200
2.898 0.433 7.085
3.740 3.857 0.273
3.747 3.633 5.269
4.861 1.522 0.270
4.898 7.482 8.540
4.907 7.607 3.575
4.958 2.686 8.194
4.966 2.827 3.176
4.931 7.080 6.329
4.984 1.344 5.197
4.952 5.493 2.830
4.948 5.361 7.806
4.936 7.211 1.356
6.182 3.751 0.310
6.189 3.637 5.272
```

(4)
Starting from a PBE+U-relaxed structure, the powder diffraction line list of Na5LiMn2P2C2O14 was calculated for CuKα.
Peak positions follow from Bragg's law for the DFT cell and can differ from measured ones.

Top 10 peaks for 10 to 80 degrees two-theta, sorted by position:
d 4.493, 19.76 deg, intensity 52, hkl 0 1 -2; d 3.397, 26.24 deg, intensity 36, hkl 0 2 -2; d 3.383, 26.34 deg, intensity 100, hkl 2 0 0; d 2.716, 32.98 deg, intensity 40, hkl 2 -2 0; d 2.703, 33.14 deg, intensity 37, hkl 2 -1 2; d 2.689, 33.32 deg, intensity 37, hkl 2 2 0; d 2.594, 34.58 deg, intensity 98, hkl 0 0 4; d 1.880, 48.41 deg, intensity 29, hkl 2 -4 0; d 1.862, 48.90 deg, intensity 26, hkl 2 4 0; d 1.692, 54.22 deg, intensity 28, hkl 4 0 0

Atomic structure:
```
Na5LiMn2P2C2O14
1.0
6.767 0.000 0.000
-0.096 8.986 0.000
-0.056 -0.007 10.375
Na Li Mn P C O
10 2 4 4 4 28
Cartesian
-0.022 2.173 1.281
1.600 3.742 3.948
1.588 3.743 9.122
3.314 2.168 6.473
3.345 2.165 1.279
3.270 6.814 9.096
3.301 6.811 3.902
5.027 5.237 1.253
5.015 5.237 6.427
6.637 6.806 9.094
0.007 2.076 6.439
6.608 6.904 3.936
1.564 7.736 6.326
1.597 7.743 1.157
5.018 1.237 9.218
5.052 1.243 4.049
1.637 0.769 3.653
1.614 0.803 8.813
5.001 8.176 1.561
4.979 8.210 6.722
1.556 4.995 6.548
1.621 5.038 1.382
4.995 3.941 8.993
5.059 3.984 3.827
0.381 1.621 9.286
0.418 1.624 4.113
1.500 3.697 6.648
1.483 8.313 4.237
1.558 0.677 7.250
1.585 5.793 2.445
1.646 0.652 2.096
1.593 5.569 5.381
1.623 5.592 0.203
1.581 5.742 7.619
1.554 8.369 9.432
1.656 3.746 1.495
2.872 1.627 9.220
2.904 1.554 4.100
3.712 7.425 6.275
3.744 7.353 1.155
4.960 5.234 8.879
5.062 0.611 0.943
5.034 3.238 2.756
4.993 3.387 10.172
5.023 3.410 4.994
4.970 8.327 8.279
5.031 3.186 7.930
5.058 8.302 3.125
5.132 0.667 6.138
5.115 5.283 3.727
6.198 7.355 6.262
6.234 7.358 1.088
```

(5)
Starting from a PBE+U-relaxed structure, the powder diffraction line list of NaLi2MnPCO7 was calculated for CuKα.
Peak positions follow from Bragg's law for the DFT cell and can differ from measured ones.

Top 10 peaks for 10 to 80 degrees two-theta, sorted by position:
d 8.717, 10.15 deg, intensity 61, hkl 0 1 0; d 4.396, 20.20 deg, intensity 27, hkl 0 1 2; d 4.330, 20.51 deg, intensity 24, hkl 0 1 -2; d 3.326, 26.80 deg, intensity 100, hkl 2 0 0; d 2.644, 33.90 deg, intensity 19, hkl 2 2 0; d 2.520, 35.63 deg, intensity 28, hkl 0 0 4; d 2.339, 38.49 deg, intensity 14, hkl 1 -3 2; d 2.087, 43.35 deg, intensity 13, hkl -1 2 4; d 1.823, 50.04 deg, intensity 21, hkl 2 -4 0; d 1.663, 55.23 deg, intensity 19, hkl 4 0 0

Atomic structure:
```
NaLi2MnPCO7
1.0
6.652 0.000 0.000
0.017 8.719 0.000
0.008 0.175 10.079
Na Li Mn P C O
4 8 4 4 4 28
Cartesian
0.000 0.000 0.000
0.018 0.089 5.046
1.715 1.503 2.485
5.029 5.879 5.023
1.564 1.707 7.448
1.812 5.753 5.105
1.833 5.673 0.077
3.347 7.400 7.560
3.376 7.267 2.474
4.909 5.688 0.042
5.142 1.645 2.392
5.173 1.723 7.418
0.049 4.904 2.328
0.066 5.016 7.438
3.378 2.493 5.179
3.377 2.387 0.065
0.041 3.033 9.792
0.048 2.949 4.814
3.370 4.575 7.794
3.368 4.483 2.696
0.054 7.686 7.614
3.328 8.472 4.918
3.379 8.520 9.957
6.648 7.557 2.564
0.016 3.014 8.224
0.017 4.345 0.173
0.035 7.093 6.459
0.038 6.983 1.402
0.043 0.273 7.684
0.068 6.962 8.690
0.082 6.828 3.633
0.161 4.408 5.307
1.280 2.098 5.251
1.283 2.085 0.203
2.147 5.248 2.118
2.168 5.396 7.255
3.182 7.219 4.618
3.260 4.413 4.255
3.342 4.542 9.362
3.335 0.056 1.108
3.349 3.085 7.308
3.362 0.156 6.153
3.382 7.246 9.696
3.380 0.650 8.967
3.412 0.623 3.946
3.481 3.021 2.177
4.587 5.359 2.276
4.616 5.361 7.324
5.466 2.066 0.267
5.469 2.202 5.403
6.507 0.135 2.657
6.587 2.969 3.251
```

(6)
Starting from a PBE+U-relaxed structure, the powder diffraction line list of NaLi2MnPCO7 was calculated for CuKα.
Peak positions follow from Bragg's law for the DFT cell and can differ from measured ones.

Top 10 peaks for 10 to 80 degrees two-theta, sorted by position:
d 8.700, 10.17 deg, intensity 80, hkl 0 0 1; d 4.485, 19.80 deg, intensity 32, hkl 1 0 -1; d 4.351, 20.41 deg, intensity 35, hkl 1 0 1; d 3.375, 26.41 deg, intensity 29, hkl 1 0 -2; d 3.349, 26.62 deg, intensity 100, hkl 0 2 0; d 2.900, 30.84 deg, intensity 21, hkl 0 0 3; d 2.691, 33.30 deg, intensity 29, hkl 0 2 -2; d 2.563, 35.01 deg, intensity 49, hkl 2 0 0; d 2.176, 41.50 deg, intensity 20, hkl 0 0 4; d 1.674, 54.84 deg, intensity 20, hkl 0 4 0

Atomic structure:
```
NaLi2MnPCO7
1.0
5.129 0.000 0.000
-0.073 6.701 0.000
-0.297 -0.264 8.700
Na Li Mn P C O
2 4 2 2 2 14
Cartesian
0.000 0.000 0.000
-0.086 1.644 2.938
-0.005 4.710 3.236
2.161 5.099 7.023
2.220 1.309 7.078
2.483 3.629 1.580
-0.066 3.203 6.425
2.276 6.571 3.805
2.623 3.272 4.399
4.811 -0.174 5.829
2.605 0.052 1.132
4.938 3.494 0.450
0.106 6.449 4.363
0.123 5.326 6.672
0.221 1.088 6.559
1.079 3.488 0.193
1.438 0.022 1.696
2.059 4.437 3.516
2.061 3.300 5.852
2.240 1.983 3.641
2.433 -0.155 8.534
3.239 -0.156 5.817
3.656 0.002 1.896
3.779 3.149 8.172
4.177 3.397 4.490
4.491 3.581 1.672
```